[1]
Calculated powder diffraction line list of RbNpZnN3 for λ = 1.5418 Å (Cu Kα), from a DFT-relaxed cell (PBE, Alexandria).
No peak broadening, texture or thermal motion is included.

Most intense lines, 2θ from 15° to 90°, low angle first:
2θ/deg  Rel. int.
20.99  28
24.19  38
26.53  62
28.41  36
31.72  29
32.11  100
32.28  85
32.96  28
45.22  40
53.08  27

Cell and atoms:
a b c (Å): 7.3581 3.5454 9.1895
angles (deg): 90.00 112.92 90.00
Fractional coordinates of all 12 atoms:
Rb 0.1706 0.2500 0.2166
Rb 0.8294 0.7500 0.7834
Np 0.3630 0.2500 0.8297
Np 0.6370 0.7500 0.1703
Zn 0.1389 0.7500 0.5632
Zn 0.8611 0.2500 0.4368
N 0.0631 0.2500 0.6617
N 0.3444 0.7500 0.9761
N 0.4176 0.7500 0.7146
N 0.5824 0.2500 0.2854
N 0.6556 0.2500 0.0239
N 0.9369 0.7500 0.3383


[2]
Calculated powder diffraction line list of Li3ErAg7 for λ = 1.5418 Å (Cu Kα), from a DFT-relaxed cell (PBE, Alexandria).
No peak broadening, texture or thermal motion is included.

Most intense lines, 2θ from 15° to 90°, low angle first:
2θ/deg  Rel. int.
23.42  30
24.91  42
29.73  58
32.57  36
33.69  58
36.27  55
37.33  65
38.12  63
38.60  100
51.15  32

Cell and atoms:
a b c (Å): 6.3215 6.3215 5.6783
angles (deg): 102.85 102.85 99.29
Fractional coordinates of all 11 atoms:
Li 0.0000 0.0000 0.0000
Li 0.2306 0.7694 0.5000
Li 0.7694 0.2306 0.5000
Er 0.5000 0.5000 0.0000
Ag 0.0387 0.5869 0.8053
Ag 0.1782 0.1782 0.5430
Ag 0.4131 0.9613 0.1947
Ag 0.5000 0.5000 0.5000
Ag 0.5869 0.0387 0.8053
Ag 0.8218 0.8218 0.4570
Ag 0.9613 0.4131 0.1947